This entry pairs a crystal structure of Dy8Bi5Sb with its theoretical powder XRD pattern. Radiation: Cu Kα, 1.54184 Å. Structure: a crystal structure in Alexandria, relaxed with PBE.

```
Dy8Bi5Sb
1.0
-4.669 4.669 4.692
4.669 -4.669 4.692
4.669 4.669 -4.692
Dy Bi Sb
8 5 1
Direct
0.125 0.381 0.109
0.128 0.381 0.603
0.272 0.016 0.891
0.475 0.872 0.252
0.619 0.223 0.748
0.619 0.728 0.744
0.777 0.525 0.397
0.984 0.875 0.256
0.377 0.250 0.372
0.500 0.500 0.000
0.750 0.122 0.127
0.878 0.005 0.628
0.995 0.623 0.873
0.250 0.750 0.500
```

Top 10 peaks for 10° ≤ 2θ ≤ 80°, in order of rising 2θ:
2θ = 30.13°, I 474
2θ = 30.26°, I 1000
2θ = 35.89°, I 679
2θ = 35.97°, I 322
2θ = 43.31°, I 174
2θ = 45.48°, I 179
2θ = 47.67°, I 149
2θ = 49.74°, I 191
2θ = 61.15°, I 289
2θ = 74.66°, I 155